[1]
Diffraction record for InCoCu2. The powder XRD pattern is theoretical, not measured: it uses a crystal structure in Alexandria, relaxed with PBE and Cu Kα (weighted mean of Kα1 and Kα2).
Neutral-atom scattering factors, no anomalous dispersion.

Structure:
```
data_InCoCu2
_cell_length_a 3.927
_cell_length_b 3.927
_cell_length_c 7.133
_cell_angle_alpha 90.00
_cell_angle_beta 90.00
_cell_angle_gamma 90.00
_space_group_name_H-M_alt 'I -4 m 2'
_space_group_IT_number 119
_space_group_name_Hall 'I -4 -2'
loop_
_atom_site_label
_atom_site_fract_x
_atom_site_fract_y
_atom_site_fract_z
_atom_site_occupancy
In1 0.000 0.000 0.000 1
Co1 0.000 0.500 0.250 1
Cu1 0.000 0.000 0.500 1
Cu2 0.000 0.500 0.750 1
```

Principal peaks in the range 2θ from 10° to 90°, in order of rising 2θ:
- 2θ 25.9, d 3.440, I 8, hkl 1 0 1
- 2θ 32.2, d 2.777, I 3, hkl 1 1 0
- 2θ 41.2, d 2.191, I 100, hkl 1 1 2
- 2θ 46.2, d 1.964, I 35, hkl 2 0 0
- 2θ 51.2, d 1.783, I 13, hkl 0 0 4
- 2θ 67.5, d 1.389, I 11, hkl 2 2 0
- 2θ 71.5, d 1.320, I 18, hkl 2 0 4
- 2θ 82.2, d 1.173, I 24, hkl 3 1 2
- 2θ 89.4, d 1.096, I 10, hkl 2 2 4
- 2θ 89.7, d 1.093, I 10, hkl 1 1 6

***

[2]
Diffraction record for Li2Zn7Rh3. The powder XRD pattern is theoretical, not measured: it uses a crystal structure in Alexandria, relaxed with PBE and Cu Kα (weighted mean of Kα1 and Kα2).
Neutral-atom scattering factors, no anomalous dispersion.

Structure:
```
data_Li2Zn7Rh3
_cell_length_a 4.314
_cell_length_b 28.212
_cell_length_c 2.961
_cell_angle_alpha 90.00
_cell_angle_beta 90.00
_cell_angle_gamma 90.00
_space_group_name_H-M_alt 'C m m m'
_space_group_IT_number 65
_space_group_name_Hall '-C 2 2'
loop_
_atom_site_label
_atom_site_fract_x
_atom_site_fract_y
_atom_site_fract_z
_atom_site_occupancy
Li1 0.000 0.172 0.000 1
Zn1 0.000 0.000 0.000 1
Zn2 0.000 0.094 0.500 1
Zn3 0.000 0.277 0.000 1
Zn4 0.000 0.426 0.000 1
Rh1 0.000 0.352 0.500 1
Rh2 0.000 0.500 0.500 1
```

Principal peaks in the range 2θ from 10° to 90°, in order of rising 2θ:
- 2θ 20.8, d 4.265, I 23, hkl 1 1 0
- 2θ 22.7, d 3.921, I 15, hkl 1 3 0
- 2θ 32.8, d 2.730, I 20, hkl 0 4 1
- 2θ 40.2, d 2.241, I 21, hkl 1 5 1
- 2θ 40.9, d 2.205, I 13, hkl 1 11 0
- 2θ 41.9, d 2.157, I 35, hkl 2 0 0
- 2θ 43.3, d 2.088, I 100, hkl 1 7 1
- 2θ 45.0, d 2.015, I 12, hkl 0 14 0
- 2θ 46.9, d 1.939, I 15, hkl 1 13 0
- 2θ 77.5, d 1.232, I 17, hkl 3 7 1

***

[3]
Diffraction record for Tb2Pr3Hg2. The powder XRD pattern is theoretical, not measured: it uses a crystal structure in Alexandria, relaxed with PBE and Cu Kα (weighted mean of Kα1 and Kα2).
Neutral-atom scattering factors, no anomalous dispersion.

Structure:
```
data_Tb2Pr3Hg2
_cell_length_a 5.5146
_cell_length_b 5.5146
_cell_length_c 24.2841
_cell_angle_alpha 90.00
_cell_angle_beta 90.00
_cell_angle_gamma 120.00
_space_group_name_H-M_alt 'R -3 m'
_space_group_IT_number 166
_space_group_name_Hall '-R 3 2"'
loop_
_atom_site_label
_atom_site_fract_x
_atom_site_fract_y
_atom_site_fract_z
_atom_site_occupancy
Tb1 0.0000 0.0000 0.0746 1
Pr1 0.0000 0.0000 0.3410 1
Pr2 0.0000 0.0000 0.5000 1
Hg1 0.0000 0.0000 0.2111 1
```

Principal peaks in the range 2θ from 10° to 90°, in order of rising 2θ:
- 2θ 31.9, d 2.807, I 92, hkl 1 0 7
- 2θ 32.5, d 2.757, I 100, hkl 1 1 0
- 2θ 46.1, d 1.967, I 33, hkl 0 2 7
- 2θ 56.4, d 1.630, I 14, hkl 0 1 14
- 2θ 57.6, d 1.601, I 34, hkl 2 1 7
- 2θ 57.9, d 1.592, I 19, hkl 3 0 0
- 2θ 66.6, d 1.403, I 7, hkl 2 0 14
- 2θ 68.0, d 1.379, I 12, hkl 2 2 0
- 2θ 76.1, d 1.251, I 11, hkl 1 2 14
- 2θ 77.1, d 1.237, I 15, hkl 1 3 7

***

[4]
Diffraction record for K4Au3Cl12. The powder XRD pattern is theoretical, not measured: it uses a crystal structure in Alexandria, relaxed with PBE and Cu Kα (weighted mean of Kα1 and Kα2).
Neutral-atom scattering factors, no anomalous dispersion.

Structure:
```
data_K4Au3Cl12
_cell_length_a 11.111
_cell_length_b 11.111
_cell_length_c 11.111
_cell_angle_alpha 90.00
_cell_angle_beta 90.00
_cell_angle_gamma 90.00
_space_group_name_H-M_alt 'I m -3'
_space_group_IT_number 204
_space_group_name_Hall '-I 2 2 3'
loop_
_atom_site_label
_atom_site_fract_x
_atom_site_fract_y
_atom_site_fract_z
_atom_site_occupancy
K1 0.250 0.250 0.250 1
Au1 0.000 0.000 0.500 1
Cl1 0.000 0.349 0.150 1
```

Principal peaks in the range 2θ from 10° to 90°, in order of rising 2θ:
- 2θ 11.3, d 7.857, I 64, hkl 1 1 0
- 2θ 16.0, d 5.555, I 53, hkl 2 0 0
- 2θ 19.6, d 4.536, I 39, hkl 2 1 1
- 2θ 22.6, d 3.928, I 100, hkl 2 2 0
- 2θ 25.3, d 3.514, I 22, hkl 3 1 0
- 2θ 32.2, d 2.778, I 20, hkl 4 0 0
- 2θ 39.7, d 2.268, I 72, hkl 4 2 2
- 2θ 49.2, d 1.852, I 28, hkl 6 0 0
- 2θ 52.1, d 1.757, I 29, hkl 6 0 2
- 2θ 62.6, d 1.485, I 24, hkl 6 2 4

***

[5]
Diffraction record for HCl6F2. The powder XRD pattern is theoretical, not measured: it uses a crystal structure in Alexandria, relaxed with PBE and Cu Kα (weighted mean of Kα1 and Kα2).
Neutral-atom scattering factors, no anomalous dispersion.

Structure:
```
data_HCl6F2
_cell_length_a 5.992
_cell_length_b 6.916
_cell_length_c 6.933
_cell_angle_alpha 75.42
_cell_angle_beta 69.95
_cell_angle_gamma 78.21
_space_group_name_H-M_alt 'P 1'
_space_group_IT_number 1
loop_
_space_group_symop_operation_xyz
'x,y,z'
loop_
_atom_site_label
_atom_site_fract_x
_atom_site_fract_y
_atom_site_fract_z
_atom_site_occupancy
H1 0.000 0.000 0.000 1
Cl1 0.281 0.301 0.460 1
Cl2 0.303 0.826 0.073 1
Cl3 0.576 0.646 0.657 1
Cl4 0.650 0.835 0.804 1
Cl5 0.795 0.111 0.987 1
Cl6 0.997 0.341 0.354 1
F1 0.620 0.366 0.428 1
F2 0.945 0.858 0.606 1
```

Principal peaks in the range 2θ from 10° to 90°, in order of rising 2θ:
- 2θ 17.3, d 5.136, I 34, hkl 0 1 1
- 2θ 17.6, d 5.040, I 30, hkl 1 0 1
- 2θ 21.1, d 4.205, I 100, hkl 0 1 -1
- 2θ 22.1, d 4.022, I 22, hkl 1 -1 0
- 2θ 24.2, d 3.679, I 20, hkl 1 0 -1
- 2θ 24.9, d 3.571, I 54, hkl 1 -1 1
- 2θ 26.9, d 3.318, I 26, hkl 0 2 0
- 2θ 27.9, d 3.200, I 21, hkl 1 2 1
- 2θ 28.5, d 3.128, I 36, hkl 0 1 2
- 2θ 40.4, d 2.231, I 20, hkl 0 3 1

***

[6]
Diffraction record for Ag5HgS2. The powder XRD pattern is theoretical, not measured: it uses a crystal structure in Alexandria, relaxed with PBE and Cu Kα (weighted mean of Kα1 and Kα2).
Neutral-atom scattering factors, no anomalous dispersion.

Structure:
```
data_Ag5HgS2
_cell_length_a 4.523
_cell_length_b 4.523
_cell_length_c 16.136
_cell_angle_alpha 90.00
_cell_angle_beta 90.00
_cell_angle_gamma 90.00
_space_group_name_H-M_alt 'I 4/m m m'
_space_group_IT_number 139
_space_group_name_Hall '-I 4 2'
loop_
_atom_site_label
_atom_site_fract_x
_atom_site_fract_y
_atom_site_fract_z
_atom_site_occupancy
Ag1 0.000 0.000 0.000 1
Ag2 0.000 0.500 0.121 1
Hg1 0.000 0.000 0.500 1
S1 0.000 0.000 0.188 1
```

Principal peaks in the range 2θ from 10° to 90°, in order of rising 2θ:
- 2θ 11.0, d 8.068, I 55, hkl 0 0 2
- 2θ 30.1, d 2.973, I 16, hkl 1 1 2
- 2θ 35.8, d 2.506, I 100, hkl 1 1 4
- 2θ 39.9, d 2.262, I 44, hkl 2 0 0
- 2θ 44.0, d 2.058, I 18, hkl 1 1 6
- 2θ 44.9, d 2.017, I 11, hkl 0 0 8
- 2θ 57.6, d 1.599, I 14, hkl 2 2 0
- 2θ 61.6, d 1.505, I 16, hkl 2 0 8
- 2θ 69.8, d 1.348, I 27, hkl 3 1 4
- 2θ 76.9, d 1.240, I 10, hkl 1 1 12

***

[7]
Diffraction record for Ho8RuPt2. The powder XRD pattern is theoretical, not measured: it uses a crystal structure in Alexandria, relaxed with PBE and Cu Kα (weighted mean of Kα1 and Kα2).
Neutral-atom scattering factors, no anomalous dispersion.

Structure:
```
data_Ho8RuPt2
_cell_length_a 8.320
_cell_length_b 12.676
_cell_length_c 5.880
_cell_angle_alpha 90.00
_cell_angle_beta 109.40
_cell_angle_gamma 90.00
_space_group_name_H-M_alt 'C 1 m 1'
_space_group_IT_number 8
loop_
_space_group_symop_operation_xyz
'x,y,z'
'x,-y,z'
'x+1/2,y+1/2,z'
'x+1/2,-y+1/2,z'
loop_
_atom_site_label
_atom_site_fract_x
_atom_site_fract_y
_atom_site_fract_z
_atom_site_occupancy
Ho1 0.000 0.000 0.000 1
Ho2 0.061 0.374 0.767 1
Ho3 0.150 0.126 0.567 1
Ho4 0.211 0.500 0.355 1
Ho5 0.353 0.212 0.176 1
Ru1 0.355 0.000 0.315 1
Pt1 0.358 0.311 0.678 1
```

Principal peaks in the range 2θ from 10° to 90°, in order of rising 2θ:
- 2θ 26.7, d 3.336, I 39, hkl 2 2 0
- 2θ 31.0, d 2.887, I 88, hkl 1 3 1
- 2θ 31.2, d 2.863, I 44, hkl 1 1 -2
- 2θ 32.5, d 2.752, I 67, hkl 0 4 1
- 2θ 33.4, d 2.681, I 75, hkl 3 1 -1
- 2θ 35.3, d 2.541, I 41, hkl 0 2 2
- 2θ 35.8, d 2.509, I 40, hkl 2 2 -2
- 2θ 36.4, d 2.465, I 37, hkl 2 4 0
- 2θ 39.2, d 2.300, I 100, hkl 1 5 -1
- 2θ 40.6, d 2.224, I 35, hkl 3 3 0

***

[8]
Diffraction record for Na7Pb2. The powder XRD pattern is theoretical, not measured: it uses a crystal structure in Alexandria, relaxed with PBE and Cu Kα (weighted mean of Kα1 and Kα2).
Neutral-atom scattering factors, no anomalous dispersion.

Structure:
```
data_Na7Pb2
_cell_length_a 6.2044
_cell_length_b 6.2044
_cell_length_c 8.6359
_cell_angle_alpha 90.00
_cell_angle_beta 90.00
_cell_angle_gamma 120.00
_space_group_name_H-M_alt 'P -3 1 m'
_space_group_IT_number 162
_space_group_name_Hall '-P 3 2'
loop_
_atom_site_label
_atom_site_fract_x
_atom_site_fract_y
_atom_site_fract_z
_atom_site_occupancy
Na1 0.0000 0.0000 0.0000 1
Na2 0.0000 0.3469 0.6799 1
Pb1 0.3333 0.6667 0.0000 1
```

Principal peaks in the range 2θ from 10° to 90°, in order of rising 2θ:
- 2θ 10.2, d 8.636, I 100, hkl 0 0 1
- 2θ 16.5, d 5.373, I 28, hkl 1 0 0
- 2θ 19.5, d 4.562, I 34, hkl 1 0 1
- 2θ 20.6, d 4.318, I 18, hkl 0 0 2
- 2θ 28.8, d 3.102, I 28, hkl 1 1 0
- 2θ 30.6, d 2.920, I 85, hkl 1 1 1
- 2θ 31.1, d 2.879, I 20, hkl 0 0 3
- 2θ 35.6, d 2.519, I 60, hkl 2 -1 2
- 2θ 42.9, d 2.110, I 20, hkl 2 -1 3
- 2θ 51.6, d 1.772, I 19, hkl 1 1 4

***

[9]
Diffraction record for Pm3Tl5. The powder XRD pattern is theoretical, not measured: it uses a crystal structure in Alexandria, relaxed with PBE and Cu Kα (weighted mean of Kα1 and Kα2).
Neutral-atom scattering factors, no anomalous dispersion.

Structure:
```
data_Pm3Tl5
_cell_length_a 10.284
_cell_length_b 8.330
_cell_length_c 10.679
_cell_angle_alpha 90.00
_cell_angle_beta 90.00
_cell_angle_gamma 90.00
_space_group_name_H-M_alt 'C m c m'
_space_group_IT_number 63
_space_group_name_Hall '-C 2c 2'
loop_
_atom_site_label
_atom_site_fract_x
_atom_site_fract_y
_atom_site_fract_z
_atom_site_occupancy
Pm1 0.000 0.118 0.250 1
Pm2 0.204 0.500 0.000 1
Tl1 0.000 0.195 0.540 1
Tl2 0.000 0.495 0.750 1
Tl3 0.219 0.209 0.750 1
```

Principal peaks in the range 2θ from 10° to 90°, in order of rising 2θ:
- 2θ 32.3, d 2.768, I 100, hkl 2 2 2
- 2θ 32.9, d 2.726, I 21, hkl 3 1 2
- 2θ 33.4, d 2.681, I 25, hkl 1 3 0
- 2θ 33.6, d 2.670, I 32, hkl 0 0 4
- 2θ 34.9, d 2.571, I 25, hkl 4 0 0
- 2θ 37.6, d 2.395, I 16, hkl 2 2 3
- 2θ 38.0, d 2.367, I 19, hkl 3 1 3
- 2θ 49.2, d 1.852, I 13, hkl 4 0 4
- 2θ 55.6, d 1.653, I 13, hkl 5 3 0
- 2θ 64.6, d 1.443, I 17, hkl 3 5 2

***

[10]
Diffraction record for Ba3Li3Ge8. The powder XRD pattern is theoretical, not measured: it uses a crystal structure in Alexandria, relaxed with PBE and Cu Kα (weighted mean of Kα1 and Kα2).
Neutral-atom scattering factors, no anomalous dispersion.

Structure:
```
data_Ba3Li3Ge8
_cell_length_a 4.238
_cell_length_b 11.605
_cell_length_c 13.708
_cell_angle_alpha 90.00
_cell_angle_beta 90.00
_cell_angle_gamma 90.00
_space_group_name_H-M_alt 'I m m m'
_space_group_IT_number 71
_space_group_name_Hall '-I 2 2'
loop_
_atom_site_label
_atom_site_fract_x
_atom_site_fract_y
_atom_site_fract_z
_atom_site_occupancy
Ba1 0.000 0.000 0.000 1
Ba2 0.000 0.000 0.286 1
Li1 0.000 0.190 0.500 1
Li2 0.000 0.500 0.000 1
Ge1 0.000 0.299 0.141 1
Ge2 0.000 0.332 0.344 1
```

Principal peaks in the range 2θ from 10° to 90°, in order of rising 2θ:
- 2θ 12.9, d 6.854, I 33, hkl 0 0 2
- 2θ 20.9, d 4.252, I 16, hkl 0 1 3
- 2θ 30.3, d 2.951, I 69, hkl 0 2 4
- 2θ 31.3, d 2.857, I 100, hkl 1 3 0
- 2θ 32.7, d 2.739, I 29, hkl 1 2 3
- 2θ 34.5, d 2.597, I 42, hkl 1 1 4
- 2θ 42.7, d 2.119, I 26, hkl 2 0 0
- 2θ 47.0, d 1.933, I 18, hkl 0 6 0
- 2θ 52.3, d 1.750, I 30, hkl 1 5 4
- 2θ 53.2, d 1.721, I 28, hkl 2 2 4

***

What did the third record say?
Diffraction record for Tb2Pr3Hg2. The powder XRD pattern is theoretical, not measured: it uses a crystal structure in Alexandria, relaxed with PBE and Cu Kα (weighted mean of Kα1 and Kα2).
Neutral-atom scattering factors, no anomalous dispersion.

Structure:
```
data_Tb2Pr3Hg2
_cell_length_a 5.5146
_cell_length_b 5.5146
_cell_length_c 24.2841
_cell_angle_alpha 90.00
_cell_angle_beta 90.00
_cell_angle_gamma 120.00
_space_group_name_H-M_alt 'R -3 m'
_space_group_IT_number 166
_space_group_name_Hall '-R 3 2"'
loop_
_atom_site_label
_atom_site_fract_x
_atom_site_fract_y
_atom_site_fract_z
_atom_site_occupancy
Tb1 0.0000 0.0000 0.0746 1
Pr1 0.0000 0.0000 0.3410 1
Pr2 0.0000 0.0000 0.5000 1
Hg1 0.0000 0.0000 0.2111 1
```

Principal peaks in the range 2θ from 10° to 90°, in order of rising 2θ:
- 2θ 31.9, d 2.807, I 92, hkl 1 0 7
- 2θ 32.5, d 2.757, I 100, hkl 1 1 0
- 2θ 46.1, d 1.967, I 33, hkl 0 2 7
- 2θ 56.4, d 1.630, I 14, hkl 0 1 14
- 2θ 57.6, d 1.601, I 34, hkl 2 1 7
- 2θ 57.9, d 1.592, I 19, hkl 3 0 0
- 2θ 66.6, d 1.403, I 7, hkl 2 0 14
- 2θ 68.0, d 1.379, I 12, hkl 2 2 0
- 2θ 76.1, d 1.251, I 11, hkl 1 2 14
- 2θ 77.1, d 1.237, I 15, hkl 1 3 7